Starting from the GGA+U geometry in the Materials Project, the powder diffractogram of MgMn5CuO12 was calculated for Cu Kα X-rays.
Intensities are scaled so that the largest is 100.

Atomic structure:
Unit cell a=5.070 b=8.878 c=9.866 alpha=90.00 beta=97.46 gamma=90.00
Space group Cm (No. 8)
Unique sites:
Mg  0.000  0.000  0.000 x2
Mn  0.412  0.000  0.257 x2
Mn  0.412  0.332  0.260 x4
Mn  0.436  0.167  0.760 x4
Cu  0.429  0.500  0.731 x2
O  0.048  0.500  0.657 x2
O  0.090  0.181  0.657 x4
O  0.100  0.335  0.354 x4
O  0.119  0.000  0.359 x2
O  0.205  0.153  0.149 x4
O  0.231  0.500  0.153 x2
O  0.286  0.000  0.860 x2
O  0.300  0.338  0.861 x4

The 8 most intense peaks (2θ from 5° to 70°), in order of falling intensity:
(hkl), d_spacing, intensity
0 0 2, 4.891, 100.0
1 3 -1, 2.510, 26.5
1 3 3, 1.948, 17.0
1 3 1, 2.429, 16.0
1 3 -3, 2.076, 15.5
2 0 2, 2.127, 10.7
3 3 -1, 1.467, 10.5
1 3 -5, 1.604, 9.8